1.
MgV4Ge4O16: computed powder diffractogram (a wavelength of 1.5418 Å), based on a crystal structure in the Materials Project, relaxed with GGA+U.
Peak positions follow from Bragg's law for the DFT cell and can differ from measured ones.

Cell lengths 4.607, 11.377, 4.851 Å; angles 90.00, 90.28, 90.00 degrees
Space group P2 (No. 3)
Inequivalent atoms, fractional coordinates:
Mg: 0.000 0.000 0.000 x1
V: 0.000 0.722 0.000 x1
V: 0.000 0.852 0.500 x1
V: 0.500 0.236 0.000 x1
V: 0.500 0.364 0.500 x1
Ge: 0.000 0.130 0.500 x1
Ge: 0.000 0.471 0.000 x1
Ge: 0.500 0.616 0.500 x1
Ge: 0.500 0.966 0.000 x1
O: 0.220 0.604 0.168 x2
O: 0.229 0.989 0.671 x2
O: 0.243 0.860 0.149 x2
O: 0.245 0.238 0.663 x2
O: 0.247 0.360 0.172 x2
O: 0.255 0.731 0.668 x2
O: 0.274 0.103 0.174 x2
O: 0.283 0.488 0.669 x2

Top 6 peaks for 10 to 80 degrees two-theta, sorted by position:
| 2theta | Rel. int. |
| --- | --- |
| 27.77 | 100.0 |
| 27.90 | 99.6 |
| 30.53 | 76.3 |
| 36.62 | 58.5 |
| 54.58 | 47.8 |
| 54.72 | 47.7 |

2.
MgGe2W2O8: computed powder diffractogram (a wavelength of 1.5418 Å), based on a crystal structure in the Materials Project, relaxed with GGA+U.
Peak positions follow from Bragg's law for the DFT cell and can differ from measured ones.

Cell lengths 5.342, 5.958, 5.373 Å; angles 90.00, 94.01, 90.00 degrees
Space group P2 (No. 3)
Inequivalent atoms, fractional coordinates:
Mg: 0.000 0.000 0.000 x1
Ge: 0.000 0.559 0.000 x1
Ge: 0.500 0.293 0.000 x1
W: 0.000 0.129 0.500 x1
W: 0.500 0.795 0.500 x1
O: 0.129 0.332 0.798 x2
O: 0.225 0.884 0.703 x2
O: 0.282 0.042 0.278 x2
O: 0.368 0.584 0.272 x2

Top 6 peaks for 10 to 80 degrees two-theta, sorted by position:
| 2theta | Rel. int. |
| --- | --- |
| 16.54 | 28.2 |
| 22.34 | 100.0 |
| 27.24 | 80.2 |
| 28.66 | 67.9 |
| 33.64 | 29.7 |
| 34.49 | 51.0 |

3.
MgGe2W2O8: computed powder diffractogram (a wavelength of 1.5418 Å), based on a crystal structure in the Materials Project, relaxed with GGA+U.
Peak positions follow from Bragg's law for the DFT cell and can differ from measured ones.

Cell lengths 5.221, 6.343, 5.283 Å; angles 90.00, 92.71, 90.00 degrees
Space group P2 (No. 3)
Inequivalent atoms, fractional coordinates:
Mg: 0.000 0.000 0.000 x1
Ge: 0.000 0.130 0.500 x1
Ge: 0.500 0.755 0.500 x1
W: 0.000 0.549 0.000 x1
W: 0.500 0.257 0.000 x1
O: 0.146 0.767 0.226 x2
O: 0.177 0.283 0.206 x2
O: 0.306 0.495 0.804 x2
O: 0.328 0.045 0.787 x2

Top 6 peaks for 10 to 80 degrees two-theta, sorted by position:
| 2theta | Rel. int. |
| --- | --- |
| 16.80 | 67.1 |
| 21.91 | 67.7 |
| 27.36 | 100.0 |
| 28.36 | 85.4 |
| 33.06 | 58.2 |
| 37.70 | 47.9 |